1.
Diffraction record for Rb2NbAgSe4. The X-ray powder pattern is computed, not measured: it uses a structure optimized by DFT (PBE) and Cu Kα.
Intensities are scaled so that the largest is 100.

Most intense lines, 15 to 90 degrees two-theta, low angle first:
2θ/deg  I/Imax
24.8  55
25.9  100
29.7  60
31.6  25
36.3  54
38.2  22
39.2  25
43.6  30
46.9  26
48.1  32

Atomic structure:
Cell: 14.3891 12.8420 7.8151 Å, 84.58 62.68 32.73°
Fractional coordinates of all 16 atoms:
Rb  0.0555  0.0555  0.6945
Rb  0.3055  0.3055  0.9445
Rb  0.6945  0.6945  0.0555
Rb  0.9445  0.9445  0.3055
Nb  0.1250  0.1250  0.1250
Nb  0.8750  0.8750  0.8750
Ag  0.3750  0.3750  0.3750
Ag  0.6250  0.6250  0.6250
Se  0.0641  0.3004  0.3882
Se  0.2527  0.6118  0.6996
Se  0.3004  0.0641  0.7473
Se  0.3882  0.7473  0.0641
Se  0.6118  0.2527  0.9359
Se  0.6996  0.9359  0.2527
Se  0.7473  0.3882  0.3004
Se  0.9359  0.6996  0.6118

=====

2.
Diffraction record for Nb4AgS8. The X-ray powder pattern is computed, not measured: it uses a structure optimized by DFT (PBE) and Cu Kα.
Intensities are scaled so that the largest is 100.

Most intense lines, 15 to 90 degrees two-theta, low angle first:
2θ/deg  I/Imax
19.6  32
30.6  100
32.5  37
34.3  44
35.3  76
42.2  99
43.8  67
54.2  61
71.0  20
74.4  23

Atomic structure:
Cell: 27.2661 27.2661 27.2661 Å, 7.11 7.11 7.11°
Fractional coordinates of all 13 atoms:
Nb  0.0000  0.0000  0.0000
Nb  0.0726  0.0726  0.0726
Nb  0.4987  0.4987  0.4987
Nb  0.5727  0.5727  0.5727
Ag  0.1159  0.1159  0.1159
S  0.1461  0.1461  0.1461
S  0.1841  0.1841  0.1841
S  0.3872  0.3872  0.3872
S  0.4255  0.4255  0.4255
S  0.6474  0.6474  0.6474
S  0.6858  0.6858  0.6858
S  0.8869  0.8869  0.8869
S  0.9253  0.9253  0.9253

=====

3.
Diffraction record for Nb3Ag2TeS6. The X-ray powder pattern is computed, not measured: it uses a structure optimized by DFT (PBE) and Cu Kα.
Intensities are scaled so that the largest is 100.

Most intense lines, 15 to 90 degrees two-theta, low angle first:
2θ/deg  I/Imax
21.4  50
30.9  56
32.8  100
37.9  19
43.6  13
45.3  85
55.0  31
59.7  17
72.7  16
73.9  11

Atomic structure:
Cell: 8.3022 5.7896 5.7896 Å, 120.10 90.00 90.00°
Fractional coordinates of all 12 atoms:
Nb  0.0000  0.0000  0.0000
Nb  0.0000  0.3377  0.6765
Nb  0.0000  0.6765  0.3377
Ag  0.5000  0.0206  0.7048
Ag  0.5000  0.7048  0.0206
Te  0.5000  0.3364  0.3364
S  0.1832  0.3377  0.3377
S  0.1918  0.0050  0.6721
S  0.1918  0.6721  0.0050
S  0.8082  0.0050  0.6721
S  0.8082  0.6721  0.0050
S  0.8168  0.3377  0.3377

=====

4.
Diffraction record for Nb3AgTe4. The X-ray powder pattern is computed, not measured: it uses a structure optimized by DFT (PBE) and Cu Kα.
Intensities are scaled so that the largest is 100.

Most intense lines, 15 to 90 degrees two-theta, low angle first:
2θ/deg  I/Imax
26.3  60
31.6  80
33.8  100
38.1  41
38.4  32
39.9  21
41.5  86
48.0  21
50.7  17
65.9  19

Atomic structure:
Cell: 9.8215 9.8215 4.6921 Å, 90.00 90.00 120.00°
Fractional coordinates of all 16 atoms:
Nb  0.1480  0.6401  0.2500
Nb  0.3599  0.5079  0.2500
Nb  0.4921  0.8520  0.2500
Nb  0.5079  0.1480  0.7500
Nb  0.6401  0.4921  0.7500
Nb  0.8520  0.3599  0.7500
Ag  0.0000  0.0000  0.0000
Ag  0.0000  0.0000  0.5000
Te  0.0100  0.3096  0.2500
Te  0.2996  0.9900  0.2500
Te  0.3096  0.2996  0.7500
Te  0.3333  0.6667  0.7500
Te  0.6667  0.3333  0.2500
Te  0.6904  0.7004  0.2500
Te  0.7004  0.0100  0.7500
Te  0.9900  0.6904  0.7500

=====

5.
Diffraction record for Nb3AgTe4. The X-ray powder pattern is computed, not measured: it uses a structure optimized by DFT (PBE) and Cu Kα.
Intensities are scaled so that the largest is 100.

Most intense lines, 15 to 90 degrees two-theta, low angle first:
2θ/deg  I/Imax
26.7  39
27.5  56
29.5  59
30.8  37
32.7  46
33.3  48
35.4  38
36.7  61
38.8  100
42.6  52

Atomic structure:
Cell: 8.7110 4.8990 9.6552 Å, 90.00 109.62 90.00°
Fractional coordinates of all 16 atoms:
Nb  0.0575  0.2500  0.3425
Nb  0.1646  0.2500  0.1101
Nb  0.4008  0.2500  0.5194
Nb  0.5992  0.7500  0.4806
Nb  0.8354  0.7500  0.8899
Nb  0.9425  0.7500  0.6575
Ag  0.5000  0.0000  0.0000
Ag  0.5000  0.5000  0.0000
Te  0.1463  0.2500  0.6560
Te  0.1691  0.7500  0.9532
Te  0.2407  0.7500  0.3247
Te  0.4665  0.7500  0.7036
Te  0.5335  0.2500  0.2964
Te  0.7593  0.2500  0.6753
Te  0.8309  0.2500  0.0468
Te  0.8537  0.7500  0.3440

=====

6.
Diffraction record for NdAg. The X-ray powder pattern is computed, not measured: it uses a structure optimized by DFT (PBE) and Cu Kα.
Intensities are scaled so that the largest is 100.

Most intense lines, 15 to 90 degrees two-theta, low angle first:
2θ/deg  I/Imax
23.6  2
33.7  100
41.6  1
48.4  18
54.5  1
60.2  36
70.8  11
80.8  15

Atomic structure:
Cell: 3.7631 3.7631 3.7631 Å, 90.00 90.00 90.00°
Fractional coordinates of all 2 atoms:
Nd  0.0000  0.0000  0.0000
Ag  0.5000  0.5000  0.5000

=====

7.
Diffraction record for NdAg3. The X-ray powder pattern is computed, not measured: it uses a structure optimized by DFT (PBE) and Cu Kα.
Intensities are scaled so that the largest is 100.

Most intense lines, 15 to 90 degrees two-theta, low angle first:
2θ/deg  I/Imax
24.1  4
31.4  25
36.6  100
37.0  23
49.3  14
51.7  4
55.9  17
66.3  16
68.7  12
68.9  17

Atomic structure:
Cell: 6.5779 6.5779 4.8646 Å, 90.00 90.00 120.00°
Fractional coordinates of all 8 atoms:
Nd  0.3333  0.6667  0.2500
Nd  0.6667  0.3333  0.7500
Ag  0.1508  0.3016  0.7500
Ag  0.1508  0.8492  0.7500
Ag  0.3016  0.1508  0.2500
Ag  0.6984  0.8492  0.7500
Ag  0.8492  0.1508  0.2500
Ag  0.8492  0.6984  0.2500

=====

8.
Diffraction record for Nd3SiAgS7. The X-ray powder pattern is computed, not measured: it uses a structure optimized by DFT (PBE) and Cu Kα.
Intensities are scaled so that the largest is 100.

Most intense lines, 15 to 90 degrees two-theta, low angle first:
2θ/deg  I/Imax
23.1  44
25.2  100
26.4  65
30.9  35
32.5  35
34.8  56
36.2  71
39.6  50
41.1  72
48.4  41

Atomic structure:
Cell: 10.3175 10.3175 5.7856 Å, 90.00 90.00 120.00°
Fractional coordinates of all 24 atoms:
Nd  0.1253  0.3599  0.0000
Nd  0.2346  0.8747  0.0000
Nd  0.3599  0.2346  0.5000
Nd  0.6401  0.7654  0.0000
Nd  0.7654  0.1253  0.5000
Nd  0.8747  0.6401  0.5000
Si  0.3333  0.6667  0.4121
Si  0.6667  0.3333  0.9121
Ag  0.0000  0.0000  0.0661
Ag  0.0000  0.0000  0.5661
S  0.0938  0.2694  0.5181
S  0.1150  0.5899  0.2663
S  0.1756  0.9062  0.5181
S  0.2694  0.1756  0.0181
S  0.3333  0.6667  0.7782
S  0.4101  0.5251  0.2663
S  0.4749  0.8850  0.2663
S  0.5251  0.1150  0.7663
S  0.5899  0.4749  0.7663
S  0.6667  0.3333  0.2782
S  0.7306  0.8244  0.5181
S  0.8244  0.0938  0.0181
S  0.8850  0.4101  0.7663
S  0.9062  0.7306  0.0181

=====

9.
Diffraction record for NdSi2Ag. The X-ray powder pattern is computed, not measured: it uses a structure optimized by DFT (PBE) and Cu Kα.
Intensities are scaled so that the largest is 100.

Most intense lines, 15 to 90 degrees two-theta, low angle first:
2θ/deg  I/Imax
21.6  12
23.4  15
29.3  10
30.3  18
33.0  19
33.6  100
42.7  17
43.0  17
56.0  11
62.2  11

Atomic structure:
Cell: 4.2360 17.7022 4.2086 Å, 90.00 90.00 90.00°
Fractional coordinates of all 16 atoms:
Nd  0.0000  0.0961  0.2500
Nd  0.0000  0.9039  0.7500
Nd  0.5000  0.4039  0.7500
Nd  0.5000  0.5961  0.2500
Si  0.0000  0.3357  0.2500
Si  0.0000  0.4668  0.2500
Si  0.0000  0.5332  0.7500
Si  0.0000  0.6643  0.7500
Si  0.5000  0.0332  0.7500
Si  0.5000  0.1643  0.7500
Si  0.5000  0.8357  0.2500
Si  0.5000  0.9668  0.2500
Ag  0.0000  0.2482  0.7500
Ag  0.0000  0.7518  0.2500
Ag  0.5000  0.2518  0.2500
Ag  0.5000  0.7482  0.7500

=====

10.
Diffraction record for Nd2ZnAg. The X-ray powder pattern is computed, not measured: it uses a structure optimized by DFT (PBE) and Cu Kα.
Intensities are scaled so that the largest is 100.

Most intense lines, 15 to 90 degrees two-theta, low angle first:
2θ/deg  I/Imax
20.6  2
23.8  6
34.0  100
41.9  2
48.8  18
55.0  3
60.8  36
71.5  11
76.6  1
81.6  15

Atomic structure:
Cell: 7.4631 7.4631 7.4631 Å, 90.00 90.00 90.00°
Fractional coordinates of all 16 atoms:
Nd  0.2500  0.2500  0.2500
Nd  0.2500  0.2500  0.7500
Nd  0.2500  0.7500  0.2500
Nd  0.2500  0.7500  0.7500
Nd  0.7500  0.2500  0.2500
Nd  0.7500  0.2500  0.7500
Nd  0.7500  0.7500  0.2500
Nd  0.7500  0.7500  0.7500
Zn  0.0000  0.0000  0.0000
Zn  0.0000  0.5000  0.5000
Zn  0.5000  0.0000  0.5000
Zn  0.5000  0.5000  0.0000
Ag  0.0000  0.0000  0.5000
Ag  0.0000  0.5000  0.0000
Ag  0.5000  0.0000  0.0000
Ag  0.5000  0.5000  0.5000

=====

11.
Diffraction record for NdZn2Ag. The X-ray powder pattern is computed, not measured: it uses a structure optimized by DFT (PBE) and Cu Kα.
Intensities are scaled so that the largest is 100.

Most intense lines, 15 to 90 degrees two-theta, low angle first:
2θ/deg  I/Imax
22.5  1
26.0  10
37.1  100
43.8  1
45.9  3
53.5  17
60.4  4
66.9  34
79.1  10
84.9  2

Atomic structure:
Cell: 6.8516 6.8516 6.8516 Å, 90.00 90.00 90.00°
Fractional coordinates of all 16 atoms:
Nd  0.0000  0.0000  0.0000
Nd  0.0000  0.5000  0.5000
Nd  0.5000  0.0000  0.5000
Nd  0.5000  0.5000  0.0000
Zn  0.2500  0.2500  0.2500
Zn  0.2500  0.2500  0.7500
Zn  0.2500  0.7500  0.2500
Zn  0.2500  0.7500  0.7500
Zn  0.7500  0.2500  0.2500
Zn  0.7500  0.2500  0.7500
Zn  0.7500  0.7500  0.2500
Zn  0.7500  0.7500  0.7500
Ag  0.0000  0.0000  0.5000
Ag  0.0000  0.5000  0.0000
Ag  0.5000  0.0000  0.0000
Ag  0.5000  0.5000  0.5000

=====

12.
Diffraction record for NpAgSeO5. The X-ray powder pattern is computed, not measured: it uses a structure optimized by DFT (PBE) and Cu Kα.
Intensities are scaled so that the largest is 100.

Most intense lines, 15 to 90 degrees two-theta, low angle first:
2θ/deg  I/Imax
15.0  51
19.6  18
27.7  100
29.1  96
29.5  37
32.2  26
42.2  28
46.2  17
47.8  17
50.3  17

Atomic structure:
Cell: 4.3022 9.7862 12.2414 Å, 90.00 105.60 90.00°
Fractional coordinates of all 32 atoms:
Np  0.0061  0.1569  0.2559
Np  0.0061  0.3431  0.7559
Np  0.9939  0.6569  0.2441
Np  0.9939  0.8431  0.7441
Ag  0.3839  0.1106  0.5866
Ag  0.3839  0.3894  0.0866
Ag  0.6161  0.6106  0.9134
Ag  0.6161  0.8894  0.4134
Se  0.3292  0.5879  0.6124
Se  0.3292  0.9121  0.1124
Se  0.6708  0.0879  0.8876
Se  0.6708  0.4121  0.3876
O  0.0447  0.0883  0.8611
O  0.0447  0.4117  0.3611
O  0.1031  0.7467  0.3848
O  0.1031  0.7533  0.8848
O  0.1178  0.0676  0.3974
O  0.1178  0.4324  0.8974
O  0.4677  0.7315  0.6946
O  0.4677  0.7685  0.1946
O  0.4823  0.0416  0.2102
O  0.4823  0.4584  0.7102
O  0.5177  0.5416  0.2898
O  0.5177  0.9584  0.7898
O  0.5323  0.2315  0.8054
O  0.5323  0.2685  0.3054
O  0.8822  0.5676  0.1026
O  0.8822  0.9324  0.6026
O  0.8969  0.2467  0.1152
O  0.8969  0.2533  0.6152
O  0.9553  0.5883  0.6389
O  0.9553  0.9117  0.1389

=====

Q: What is the formula in the first record?
A: Rb2NbAgSe4